# 1
Starting from DFT lattice parameters and positions (GGA-PBE), the powder X-ray diffraction pattern of TbEr5Tl was calculated for Cu Kα (weighted mean of Kα1 and Kα2).
Lines closer than 0.1° are merged.

abc: 7.9327 11.4368 6.1557
angles: 90.00 90.00 90.00
Space group Imm2 (No. 44)
Inequivalent atoms, fractional coordinates:
Tb (0.0000, 0.0000, 0.0000) x2
Er (0.0000, 0.2523, 0.6096) x4
Er (0.0000, 0.5000, 0.2953) x2
Er (0.1854, 0.0000, 0.5024) x4
Tl (0.0000, 0.5000, 0.7689) x2

Top 10 peaks for 2θ from 5° to 70°, by angle:
2θ = 15.50°, rel. 759, hkl 0 2 0
2θ = 18.24°, rel. 485, hkl 1 0 1
2θ = 22.42°, rel. 465, hkl 2 0 0
2θ = 24.02°, rel. 388, hkl 1 2 1
2θ = 27.87°, rel. 479, hkl 2 1 1
2θ = 31.28°, rel. 724, hkl 0 4 0
2θ = 32.16°, rel. 775, hkl 1 1 2
2θ = 39.30°, rel. 464, hkl 1 3 2
2θ = 40.32°, rel. 1000, hkl 3 2 1
2θ = 61.86°, rel. 285, hkl 3 6 1


# 2
Starting from DFT lattice parameters and positions (GGA-PBE), the powder X-ray diffraction pattern of SrSmHgAu was calculated for Cu Kα (weighted mean of Kα1 and Kα2).
Lines closer than 0.1° are merged.

abc: 3.8033 3.8033 7.7503
angles: 90.00 90.00 90.00
Space group P4mm (No. 99)
Inequivalent atoms, fractional coordinates:
Sr (0.0000, 0.0000, 0.0000) x1
Sm (0.0000, 0.0000, 0.4749) x1
Hg (0.5000, 0.5000, 0.7193) x1
Au (0.5000, 0.5000, 0.2750) x1

Top 10 peaks for 2θ from 5° to 70°, by angle:
2θ = 11.42°, rel. 134, hkl 0 0 1
2θ = 23.39°, rel. 78, hkl 1 0 0
2θ = 33.00°, rel. 1000, hkl 1 0 2
2θ = 33.32°, rel. 535, hkl 1 1 0
2θ = 42.29°, rel. 91, hkl 1 0 3
2θ = 46.89°, rel. 71, hkl 0 0 4
2θ = 47.83°, rel. 196, hkl 2 0 0
2θ = 58.73°, rel. 145, hkl 1 1 4
2θ = 59.34°, rel. 377, hkl 2 1 2
2θ = 69.23°, rel. 89, hkl 2 0 4


# 3
Starting from DFT lattice parameters and positions (GGA-PBE), the powder X-ray diffraction pattern of Ga3HPb was calculated for Cu Kα (weighted mean of Kα1 and Kα2).
Lines closer than 0.1° are merged.

abc: 4.5554 4.5554 4.5554
angles: 90.00 90.00 90.00
Space group Pm-3m (No. 221)
Inequivalent atoms, fractional coordinates:
Ga (0.0000, 0.0000, 0.5000) x3
H (0.0000, 0.0000, 0.0000) x1
Pb (0.5000, 0.5000, 0.5000) x1

Top 10 peaks for 2θ from 5° to 70°, by angle:
2θ = 19.49°, rel. 263, hkl 1 0 0
2θ = 27.69°, rel. 246, hkl 1 1 0
2θ = 34.09°, rel. 1000, hkl 1 1 1
2θ = 39.57°, rel. 506, hkl 2 0 0
2θ = 44.47°, rel. 140, hkl 2 1 0
2θ = 48.98°, rel. 110, hkl 2 1 1
2θ = 57.20°, rel. 342, hkl 2 2 0
2θ = 61.02°, rel. 72, hkl 3 0 0
2θ = 64.71°, rel. 50, hkl 3 1 0
2θ = 68.29°, rel. 398, hkl 3 1 1